Starting from a crystal structure in Alexandria, relaxed with PBE, the XRD peak list of Li3IrF6 was simulated for Cu Kα, 1.54184 Å.

Crystal structure
```
data_Li3IrF6
_cell_length_a 8.6955
_cell_length_b 8.6955
_cell_length_c 10.3217
_cell_angle_alpha 90.00
_cell_angle_beta 90.00
_cell_angle_gamma 120.00
_space_group_name_H-M_alt 'R -3'
_space_group_IT_number 148
_space_group_name_Hall '-R 3'
loop_
_atom_site_label
_atom_site_fract_x
_atom_site_fract_y
_atom_site_fract_z
Li1 0.0364 0.2625 0.2108
Ir1 0.0000 0.0000 0.0000
Ir2 0.0000 0.0000 0.5000
F1 0.0177 0.2083 0.3982
F2 0.0214 0.1857 0.8705
```

Largest 10 diffraction maxima, in order of rising 2θ, 2θ = 10–80°:
| two_theta | Rel. int. | (hkl) |
| --- | --- | --- |
| 20.4 | 100.0 | 1 1 0 |
| 20.9 | 98.0 | 0 1 2 |
| 29.4 | 49.9 | 2 0 2 |
| 35.8 | 17.9 | 3 0 0 |
| 36.0 | 49.3 | 1 2 2 |
| 42.5 | 16.5 | 0 2 4 |
| 46.9 | 29.0 | 3 1 2 |
| 47.6 | 34.6 | 2 1 4 |
| 56.0 | 22.1 | 1 4 0 |
| 56.7 | 16.5 | 1 3 4 |